(1)
Computed X-ray diffraction stick pattern
Compound: P2W2O11
Radiation: copper Kα
Structure: the PBE+U geometry in the Materials Project

Crystal structure
Lattice parameters (Å, degrees): 16.1691 6.3186 8.1693 90.00 90.00 90.00
Atoms (fractional coordinates):
P: 0.0848 0.2500 0.0880
P: 0.2434 0.7500 0.9938
P: 0.2566 0.2500 0.4938
P: 0.4152 0.7500 0.5880
P: 0.5848 0.2500 0.4120
P: 0.7434 0.7500 0.5062
P: 0.7566 0.2500 0.0062
P: 0.9152 0.7500 0.9120
W: 0.0623 0.7500 0.2303
W: 0.1992 0.7500 0.5875
W: 0.3008 0.2500 0.0875
W: 0.4377 0.2500 0.7303
W: 0.5623 0.7500 0.2697
W: 0.6992 0.7500 0.9125
W: 0.8008 0.2500 0.4125
W: 0.9377 0.2500 0.7697
O: 0.0086 0.2500 0.6135
O: 0.0189 0.2500 0.9525
O: 0.0688 0.0561 0.2015
O: 0.0688 0.4439 0.2015
O: 0.1059 0.7500 0.6871
O: 0.1525 0.7500 0.0338
O: 0.1580 0.7500 0.3687
O: 0.1710 0.2500 0.0145
O: 0.2109 0.0563 0.5708
O: 0.2109 0.4437 0.5708
O: 0.2405 0.2500 0.3076
O: 0.2595 0.7500 0.8076
O: 0.2891 0.5563 0.0708
O: 0.2891 0.9437 0.0708
O: 0.3290 0.7500 0.5145
O: 0.3420 0.2500 0.8687
O: 0.3475 0.2500 0.5338
O: 0.3941 0.2500 0.1871
O: 0.4312 0.5561 0.7015
O: 0.4312 0.9439 0.7015
O: 0.4811 0.7500 0.4525
O: 0.4914 0.7500 0.1135
O: 0.5086 0.2500 0.8865
O: 0.5189 0.2500 0.5475
O: 0.5688 0.0561 0.2985
O: 0.5688 0.4439 0.2985
O: 0.6059 0.7500 0.8129
O: 0.6525 0.7500 0.4662
O: 0.6580 0.7500 0.1313
O: 0.6710 0.2500 0.4855
O: 0.7109 0.0563 0.9292
O: 0.7109 0.4437 0.9292
O: 0.7405 0.2500 0.1924
O: 0.7595 0.7500 0.6924
O: 0.7891 0.5563 0.4292
O: 0.7891 0.9437 0.4292
O: 0.8290 0.7500 0.9855
O: 0.8420 0.2500 0.6313
O: 0.8475 0.2500 0.9662
O: 0.8941 0.2500 0.3129
O: 0.9312 0.5561 0.7985
O: 0.9312 0.9439 0.7985
O: 0.9811 0.7500 0.0475
O: 0.9914 0.7500 0.3865

Peak list (10 most intense, 5 to 70 degrees two-theta, low angle first)
d/Å	I_rel
5.746	26
4.980	88
4.775	44
4.251	100
3.960	42
3.646	47
3.623	71
3.159	78
2.615	47
2.501	28

(2)
Computed X-ray diffraction stick pattern
Compound: Mg6AlNiO8
Radiation: copper Kα
Structure: the PBE+U geometry in the Materials Project

Crystal structure
Lattice parameters (Å, degrees): 4.1772 4.1772 8.7907 90.00 90.00 90.00
Atoms (fractional coordinates):
Mg: 0.0000 0.0000 0.0000
Mg: 0.0000 0.5000 0.2554
Mg: 0.0000 0.5000 0.7446
Mg: 0.5000 0.0000 0.2554
Mg: 0.5000 0.0000 0.7446
Mg: 0.5000 0.5000 0.0000
Al: 0.0000 0.0000 0.5000
Ni: 0.5000 0.5000 0.5000
O: 0.0000 0.0000 0.2800
O: 0.0000 0.0000 0.7200
O: 0.0000 0.5000 0.0000
O: 0.0000 0.5000 0.5000
O: 0.5000 0.0000 0.0000
O: 0.5000 0.0000 0.5000
O: 0.5000 0.5000 0.2290
O: 0.5000 0.5000 0.7710

Peak list (10 most intense, 5 to 70 degrees two-theta, low angle first)
d/Å	I_rel
8.791	28
4.395	6
4.177	7
3.028	6
2.452	33
2.399	10
2.198	55
2.089	100
1.514	58
1.477	28

(3)
Computed X-ray diffraction stick pattern
Compound: AlCoP2NO8
Radiation: copper Kα
Structure: the PBE+U geometry in the Materials Project

Crystal structure
Lattice parameters (Å, degrees): 8.9367 9.4879 9.5164 90.20 97.52 96.95
Atoms (fractional coordinates):
Al: 0.0000 0.0000 0.0000
Al: 0.1664 0.3690 0.5176
Al: 0.4519 0.6424 0.7876
Al: 0.6673 0.2555 0.6400
Co: 0.1153 0.9009 0.4262
Co: 0.5064 0.7361 0.2636
Co: 0.6119 0.1606 0.1614
Co: 0.9498 0.5232 0.9060
P: 0.0149 0.2377 0.7685
P: 0.1074 0.6519 0.6541
P: 0.1464 0.7478 0.1308
P: 0.4726 0.0310 0.4206
P: 0.5120 0.5029 0.5094
P: 0.5973 0.3926 0.9171
P: 0.6499 0.8678 0.0068
P: 0.9696 0.1549 0.2906
N: 0.2833 0.3753 0.1423
N: 0.3335 0.0189 0.7864
N: 0.7843 0.8776 0.6393
N: 0.8331 0.5222 0.2839
O: 0.0248 0.1145 0.1503
O: 0.0309 0.0972 0.8468
O: 0.0327 0.3566 0.8837
O: 0.0531 0.6096 0.0688
O: 0.0741 0.2833 0.3609
O: 0.0835 0.7799 0.2700
O: 0.0898 0.7961 0.5843
O: 0.1008 0.5349 0.5399
O: 0.1289 0.8729 0.0277
O: 0.1397 0.2671 0.6709
O: 0.2581 0.6626 0.7549
O: 0.3082 0.0038 0.4552
O: 0.3144 0.7214 0.1561
O: 0.3601 0.4049 0.5007
O: 0.4650 0.4826 0.8813
O: 0.4751 0.1308 0.2912
O: 0.5203 0.6193 0.6246
O: 0.5287 0.5743 0.3658
O: 0.5380 0.8927 0.3875
O: 0.5573 0.7921 0.8749
O: 0.5718 0.1036 0.5506
O: 0.5773 0.3194 0.0589
O: 0.5784 0.0032 0.0382
O: 0.5959 0.2777 0.8017
O: 0.6428 0.4110 0.5426
O: 0.6466 0.7674 0.1358
O: 0.7462 0.4955 0.9296
O: 0.8058 0.1930 0.2651
O: 0.8156 0.9062 0.9790
O: 0.8596 0.2319 0.6755
O: 0.9717 0.6191 0.7397
O: 0.9739 0.0275 0.3933

Peak list (10 most intense, 5 to 70 degrees two-theta, low angle first)
d/Å	I_rel
6.731	61
6.599	27
6.051	63
4.397	100
4.052	53
3.927	36
3.430	30
3.390	29
3.365	40
3.300	66

(4)
Computed X-ray diffraction stick pattern
Compound: LiNbWO6
Radiation: copper Kα
Structure: the PBE+U geometry in the Materials Project

Crystal structure
Lattice parameters (Å, degrees): 7.3896 7.3896 7.3896 120.48 119.66 89.88
Atoms (fractional coordinates):
Li: 0.0000 0.0000 0.0000
Li: 0.5000 0.0000 0.5000
Nb: 0.5000 0.0000 0.0000
Nb: 0.5000 0.5000 0.5000
W: 0.0000 0.5000 0.5000
W: 0.5000 0.5000 0.0000
O: 0.1807 0.4327 0.3696
O: 0.1807 0.8111 0.7480
O: 0.1943 0.4443 0.7500
O: 0.4221 0.1721 0.2500
O: 0.4369 0.1889 0.8696
O: 0.4369 0.5673 0.2480
O: 0.5631 0.4327 0.7520
O: 0.5631 0.8111 0.1304
O: 0.5779 0.8279 0.7500
O: 0.8057 0.5557 0.2500
O: 0.8193 0.1889 0.2520
O: 0.8193 0.5673 0.6304

Peak list (10 most intense, 5 to 70 degrees two-theta, low angle first)
d/Å	I_rel
6.056	40
6.006	100
3.156	56
3.028	37
3.003	37
2.612	21
2.003	14
1.847	23
1.579	16
1.569	10

(5)
Computed X-ray diffraction stick pattern
Compound: Be2CoN2F14
Radiation: copper Kα
Structure: the PBE+U geometry in the Materials Project

Crystal structure
Lattice parameters (Å, degrees): 5.7092 10.5818 10.0239 90.00 102.57 90.00
Atoms (fractional coordinates):
Be: 0.1599 0.2212 0.0891
Be: 0.1599 0.2788 0.5891
Be: 0.8401 0.7212 0.4109
Be: 0.8401 0.7788 0.9109
Co: 0.0000 0.0000 0.0000
Co: 0.0000 0.5000 0.5000
N: 0.4436 0.6438 0.1681
N: 0.4436 0.8562 0.6681
N: 0.5564 0.1438 0.3319
N: 0.5564 0.3562 0.8319
F: 0.0119 0.6230 0.3565
F: 0.0119 0.8770 0.8565
F: 0.0666 0.1562 0.5461
F: 0.0666 0.3438 0.0461
F: 0.2063 0.5938 0.6181
F: 0.2063 0.9062 0.1181
F: 0.2455 0.1231 0.9838
F: 0.2455 0.3769 0.4838
F: 0.3702 0.1083 0.3879
F: 0.3702 0.3917 0.8879
F: 0.4067 0.5411 0.2410
F: 0.4067 0.9589 0.7410
F: 0.4180 0.2407 0.2110
F: 0.4180 0.2593 0.7110
F: 0.5820 0.7407 0.2890
F: 0.5820 0.7593 0.7890
F: 0.5933 0.0411 0.2590
F: 0.5933 0.4589 0.7590
F: 0.6298 0.6083 0.1121
F: 0.6298 0.8917 0.6121
F: 0.7545 0.6231 0.5162
F: 0.7545 0.8769 0.0162
F: 0.7937 0.0938 0.8819
F: 0.7937 0.4062 0.3819
F: 0.9334 0.6562 0.9539
F: 0.9334 0.8438 0.4539
F: 0.9881 0.1230 0.1435
F: 0.9881 0.3770 0.6435

Peak list (10 most intense, 5 to 70 degrees two-theta, low angle first)
d/Å	I_rel
7.184	100
4.931	21
4.789	63
4.654	30
4.151	93
4.097	35
3.334	20
3.180	23
2.423	17
2.340	20

(6)
Computed X-ray diffraction stick pattern
Compound: Li2V5O10
Radiation: copper Kα
Structure: the PBE+U geometry in the Materials Project

Crystal structure
Lattice parameters (Å, degrees): 5.1150 7.7253 10.4234 75.97 77.17 77.81
Atoms (fractional coordinates):
Li: 0.0344 0.3987 0.3961
Li: 0.0415 0.4060 0.8906
Li: 0.9585 0.5940 0.1094
Li: 0.9656 0.6013 0.6039
V: 0.0000 0.0000 0.0000
V: 0.0000 0.0000 0.5000
V: 0.4634 0.8886 0.1564
V: 0.4639 0.8950 0.6536
V: 0.4751 0.3154 0.0698
V: 0.4894 0.3126 0.5639
V: 0.5106 0.6874 0.4361
V: 0.5249 0.6846 0.9302
V: 0.5361 0.1050 0.3464
V: 0.5366 0.1114 0.8436
O: 0.2311 0.7766 0.5869
O: 0.2342 0.7826 0.1024
O: 0.2774 0.5138 0.9669
O: 0.2794 0.1312 0.5304
O: 0.2799 0.1358 0.0235
O: 0.2831 0.5047 0.4637
O: 0.2886 0.9358 0.3335
O: 0.2961 0.9361 0.8451
O: 0.3180 0.3191 0.2374
O: 0.3301 0.3117 0.7410
O: 0.6699 0.6883 0.2590
O: 0.6820 0.6809 0.7626
O: 0.7039 0.0639 0.1549
O: 0.7114 0.0642 0.6665
O: 0.7169 0.4953 0.5363
O: 0.7201 0.8642 0.9765
O: 0.7206 0.8688 0.4696
O: 0.7226 0.4862 0.0331
O: 0.7658 0.2174 0.8976
O: 0.7689 0.2234 0.4131

Peak list (10 most intense, 5 to 70 degrees two-theta, low angle first)
d/Å	I_rel
7.391	76
4.973	43
4.918	100
3.921	26
3.309	26
3.222	30
2.977	18
2.351	61
2.051	43
1.989	41

(7)
Computed X-ray diffraction stick pattern
Compound: Ba2Mg3Tl2Fe4O12
Radiation: copper Kα
Structure: the PBE+U geometry in the Materials Project

Crystal structure
Lattice parameters (Å, degrees): 21.3404 21.3404 21.3404 169.54 169.54 14.82
Atoms (fractional coordinates):
Ba: 0.1577 0.1577 0.0000
Ba: 0.8423 0.8423 0.0000
Mg: 0.0000 0.0000 0.0000
Mg: 0.0748 0.0748 0.0000
Mg: 0.9252 0.9252 0.0000
Tl: 0.2774 0.2774 0.0000
Tl: 0.7226 0.7226 0.0000
Fe: 0.3955 0.3955 0.0000
Fe: 0.4653 0.4653 0.0000
Fe: 0.5347 0.5347 0.0000
Fe: 0.6045 0.6045 0.0000
O: 0.0338 0.5338 0.5000
O: 0.1026 0.6026 0.5000
O: 0.2255 0.2255 0.0000
O: 0.3288 0.3288 0.0000
O: 0.3974 0.8974 0.5000
O: 0.4662 0.9662 0.5000
O: 0.5338 0.0338 0.5000
O: 0.6026 0.1026 0.5000
O: 0.6712 0.6712 0.0000
O: 0.7745 0.7745 0.0000
O: 0.8974 0.3974 0.5000
O: 0.9662 0.4662 0.5000

Peak list (10 most intense, 5 to 70 degrees two-theta, low angle first)
d/Å	I_rel
3.272	88
2.998	100
2.752	85
2.732	61
2.645	36
1.946	50
1.907	33
1.672	27
1.632	35
1.567	27

(8)
Computed X-ray diffraction stick pattern
Compound: Na3Li3Mn2P2C2O14
Radiation: copper Kα
Structure: the PBE+U geometry in the Materials Project

Crystal structure
Lattice parameters (Å, degrees): 6.7699 8.7479 10.1390 91.17 90.04 90.21
Atoms (fractional coordinates):
Na: 0.0000 0.0000 0.0000
Na: 0.0001 0.4899 0.7479
Na: 0.4979 0.4894 0.7479
Na: 0.4986 0.4931 0.2526
Na: 0.7485 0.6615 0.0042
Na: 0.9991 0.9986 0.5006
Li: 0.2520 0.8320 0.2520
Li: 0.2597 0.8354 0.7485
Li: 0.4768 0.0171 0.0109
Li: 0.4791 0.0113 0.5095
Li: 0.7467 0.6666 0.5003
Li: 0.9759 0.4757 0.2443
Mn: 0.2449 0.3854 0.0163
Mn: 0.2473 0.3874 0.5102
Mn: 0.7430 0.1007 0.2387
Mn: 0.7442 0.1016 0.7339
P: 0.2476 0.1505 0.2736
P: 0.2524 0.1475 0.7707
P: 0.7426 0.3312 0.9795
P: 0.7485 0.3409 0.4743
C: 0.2563 0.7006 0.4905
C: 0.2576 0.7004 0.9923
C: 0.7474 0.7978 0.7550
C: 0.7552 0.7977 0.2645
O: 0.0632 0.0515 0.2379
O: 0.0642 0.0530 0.7349
O: 0.2326 0.3164 0.2205
O: 0.2434 0.5991 0.3946
O: 0.2441 0.5980 0.8966
O: 0.2494 0.3106 0.7132
O: 0.2507 0.6570 0.6127
O: 0.2521 0.6567 0.1140
O: 0.2689 0.1650 0.4270
O: 0.2695 0.1654 0.9245
O: 0.2738 0.8434 0.4615
O: 0.2752 0.8431 0.9627
O: 0.4262 0.0602 0.2159
O: 0.4275 0.0501 0.7163
O: 0.5608 0.4289 0.0219
O: 0.5667 0.4419 0.5118
O: 0.7320 0.1666 0.0333
O: 0.7330 0.1769 0.5301
O: 0.7383 0.8875 0.3678
O: 0.7432 0.8935 0.8552
O: 0.7494 0.6523 0.7753
O: 0.7493 0.8480 0.6353
O: 0.7499 0.3188 0.8259
O: 0.7512 0.8566 0.1482
O: 0.7625 0.3249 0.3204
O: 0.7747 0.6512 0.2804
O: 0.9285 0.4205 0.0309
O: 0.9325 0.4305 0.5253

Peak list (10 most intense, 5 to 70 degrees two-theta, low angle first)
d/Å	I_rel
8.746	100
3.385	89
3.345	32
2.689	27
2.679	32
2.671	27
2.534	45
2.350	25
2.186	24
1.693	26